No. 1
# Sc6FeSb2
Theoretical powder XRD pattern, λ = 1.5418 Å (Cu Kα). Input: a structure optimized by DFT (GGA-PBE).
Intensities are scaled so that the largest is 100.

Structure:
```
data_Sc6FeSb2
_chemical_formula_sum 'Sc6 Fe1 Sb2'
_space_group_name_H-M_alt 'P -6 2 m'
_space_group_IT_number 189
_space_group_name_Hall 'P -6 -2'
_cell_length_a 7.6591
_cell_length_b 7.6591
_cell_length_c 3.9070
_cell_angle_alpha 90.00
_cell_angle_beta 90.00
_cell_angle_gamma 120.00
loop_
_atom_site_label
_atom_site_type_symbol
_atom_site_fract_x
_atom_site_fract_y
_atom_site_fract_z
Sc1 Sc 0.0000 0.2321 0.0000
Sc2 Sc 0.0000 0.6108 0.5000
Fe1 Fe 0.0000 0.0000 0.5000
Sb1 Sb 0.3333 0.6667 0.0000
```

Largest 8 diffraction maxima, by angle, 2θ from 5° to 70°:
2theta	I_rel	hkl
23.2	67	1 1 0
32.7	100	1 1 1
35.5	84	2 0 1
35.8	38	2 1 0
40.8	57	3 0 0
42.9	66	2 1 1
63.6	29	3 0 2
65.9	26	3 2 1

No. 2
# SmFeSb3
Theoretical powder XRD pattern, λ = 1.5418 Å (Cu Kα). Input: a structure optimized by DFT (GGA-PBE).
Intensities are scaled so that the largest is 100.

Structure:
```
data_SmFeSb3
_chemical_formula_sum 'Sm8 Fe8 Sb24'
_space_group_name_H-M_alt 'P b c m'
_space_group_IT_number 57
_space_group_name_Hall '-P 2c 2b'
_cell_length_a 12.7217
_cell_length_b 6.1521
_cell_length_c 12.1366
_cell_angle_alpha 90.00
_cell_angle_beta 90.00
_cell_angle_gamma 90.00
loop_
_atom_site_label
_atom_site_type_symbol
_atom_site_fract_x
_atom_site_fract_y
_atom_site_fract_z
Sm1 Sm 0.1971 0.2226 0.2500
Sm2 Sm 0.2022 0.7500 0.0000
Fe1 Fe 0.3992 0.0375 0.6388
Sb1 Sb 0.0033 0.0134 0.6244
Sb2 Sb 0.2809 0.2500 0.0000
Sb3 Sb 0.2838 0.7332 0.2500
Sb4 Sb 0.4432 0.1142 0.2500
Sb5 Sb 0.4722 0.7500 0.0000
```

Largest 8 diffraction maxima, by angle, 2θ from 5° to 70°:
2theta	I_rel	hkl
28.1	31	4 0 0
29.5	30	0 0 4
32.3	63	2 2 0
32.7	45	2 0 4
35.0	100	4 1 2
36.4	35	3 0 4
41.8	76	0 2 4
55.9	33	4 1 6

No. 3
# SmFeSb2
Theoretical powder XRD pattern, λ = 1.5418 Å (Cu Kα). Input: a structure optimized by DFT (GGA-PBE).
Intensities are scaled so that the largest is 100.

Structure:
```
data_SmFeSb2
_chemical_formula_sum 'Sm2 Fe2 Sb4'
_space_group_name_H-M_alt 'P 4/n m m'
_space_group_IT_number 129
_cell_length_a 4.3418
_cell_length_b 4.3418
_cell_length_c 9.7472
_cell_angle_alpha 90.00
_cell_angle_beta 90.00
_cell_angle_gamma 90.00
loop_
_space_group_symop_operation_xyz
'x,y,z'
'-x,-y,-z'
'-y+1/2,x,z'
'y+1/2,-x,-z'
'-x+1/2,-y+1/2,z'
'x+1/2,y+1/2,-z'
'y,-x+1/2,z'
'-y,x+1/2,-z'
'x+1/2,-y,-z'
'-x+1/2,y,z'
'-y,-x,-z'
'y,x,z'
'-x,y+1/2,-z'
'x,-y+1/2,z'
'y+1/2,x+1/2,-z'
'-y+1/2,-x+1/2,z'
loop_
_atom_site_label
_atom_site_type_symbol
_atom_site_fract_x
_atom_site_fract_y
_atom_site_fract_z
Sm1 Sm 0.2500 0.2500 0.2434
Fe1 Fe 0.2500 0.7500 0.0000
Sb1 Sb 0.2500 0.2500 0.8630
Sb2 Sb 0.2500 0.7500 0.5000
```

Largest 8 diffraction maxima, by angle, 2θ from 5° to 70°:
2theta	I_rel	hkl
27.5	22	0 0 3
30.5	18	1 1 1
34.5	100	1 1 2
41.6	36	2 0 0
50.6	11	2 0 3
51.4	13	1 0 5
55.1	14	2 1 3
60.3	12	2 2 0

No. 4
# Fe3SnSb
Theoretical powder XRD pattern, λ = 1.5418 Å (Cu Kα). Input: a structure optimized by DFT (GGA-PBE).
Intensities are scaled so that the largest is 100.

Structure:
```
data_Fe3SnSb
_chemical_formula_sum 'Fe3 Sn1 Sb1'
_space_group_name_H-M_alt 'P 3 m 1'
_space_group_IT_number 156
_space_group_name_Hall 'P 3 -2"'
_cell_length_a 4.2103
_cell_length_b 4.2103
_cell_length_c 5.3996
_cell_angle_alpha 90.00
_cell_angle_beta 90.00
_cell_angle_gamma 120.00
loop_
_atom_site_label
_atom_site_type_symbol
_atom_site_fract_x
_atom_site_fract_y
_atom_site_fract_z
Fe1 Fe 0.0000 0.0000 0.0000
Fe2 Fe 0.3333 0.6667 0.1557
Fe3 Fe 0.6667 0.3333 0.3195
Sn1 Sn 0.6667 0.3333 0.8368
Sb1 Sb 0.0000 0.0000 0.4786
```

Largest 8 diffraction maxima, by angle, 2θ from 5° to 70°:
2theta	I_rel	hkl
24.4	33	1 0 0
29.6	47	1 0 1
41.6	100	0 1 2
43.0	88	1 1 0
53.0	10	0 2 1
55.3	10	1 1 2
61.4	31	2 0 2
68.6	9	1 1 3

No. 5
# TbFeSb3
Theoretical powder XRD pattern, λ = 1.5418 Å (Cu Kα). Input: a structure optimized by DFT (GGA-PBE).
Intensities are scaled so that the largest is 100.

Structure:
```
data_TbFeSb3
_chemical_formula_sum 'Tb8 Fe8 Sb24'
_space_group_name_H-M_alt 'P b c m'
_space_group_IT_number 57
_space_group_name_Hall '-P 2c 2b'
_cell_length_a 12.4524
_cell_length_b 6.1028
_cell_length_c 12.0291
_cell_angle_alpha 90.00
_cell_angle_beta 90.00
_cell_angle_gamma 90.00
loop_
_atom_site_label
_atom_site_type_symbol
_atom_site_fract_x
_atom_site_fract_y
_atom_site_fract_z
Tb1 Tb 0.1953 0.2220 0.2500
Tb2 Tb 0.2012 0.7500 0.0000
Fe1 Fe 0.3961 0.0376 0.6391
Sb1 Sb 0.0034 0.0134 0.6242
Sb2 Sb 0.2752 0.2500 0.0000
Sb3 Sb 0.2779 0.7336 0.2500
Sb4 Sb 0.4416 0.1111 0.2500
Sb5 Sb 0.4720 0.7500 0.0000
```

Largest 8 diffraction maxima, by angle, 2θ from 5° to 70°:
2theta	I_rel	hkl
28.7	32	4 0 0
32.7	70	2 2 0
33.1	53	2 0 4
35.7	100	4 1 2
36.5	33	3 2 0
36.9	42	3 0 4
42.2	82	0 2 4
56.7	35	4 1 6

No. 6
# FeSbTe
Theoretical powder XRD pattern, λ = 1.5418 Å (Cu Kα). Input: a structure optimized by DFT (GGA-PBE).
Intensities are scaled so that the largest is 100.

Structure:
```
data_FeSbTe
_chemical_formula_sum 'Fe2 Sb2 Te2'
_space_group_name_H-M_alt 'P 1 2/m 1'
_space_group_IT_number 10
_space_group_name_Hall '-P 2y'
_cell_length_a 5.5206
_cell_length_b 3.6028
_cell_length_c 6.4158
_cell_angle_alpha 90.00
_cell_angle_beta 91.55
_cell_angle_gamma 90.00
loop_
_atom_site_label
_atom_site_type_symbol
_atom_site_fract_x
_atom_site_fract_y
_atom_site_fract_z
Fe1 Fe 0.0000 0.0000 0.0000
Fe2 Fe 0.5000 0.5000 0.5000
Sb1 Sb 0.2034 0.0000 0.6440
Te1 Te 0.2853 0.5000 0.1449
```

Largest 8 diffraction maxima, by angle, 2θ from 5° to 70°:
2theta	I_rel	hkl
29.6	30	1 1 0
31.9	44	1 0 -2
32.6	100	1 0 2
33.0	51	1 1 1
43.4	23	2 1 -1
44.0	27	2 1 1
49.6	38	0 1 3
50.7	21	0 2 0

No. 7
# Fe2SbTe3
Theoretical powder XRD pattern, λ = 1.5418 Å (Cu Kα). Input: a structure optimized by DFT (GGA-PBE).
Intensities are scaled so that the largest is 100.

Structure:
```
data_Fe2SbTe3
_chemical_formula_sum 'Fe2 Sb1 Te3'
_space_group_name_H-M_alt 'P 1 m 1'
_space_group_IT_number 6
_space_group_name_Hall 'P -2y'
_cell_length_a 5.3761
_cell_length_b 3.7431
_cell_length_c 6.2887
_cell_angle_alpha 90.00
_cell_angle_beta 90.74
_cell_angle_gamma 90.00
loop_
_atom_site_label
_atom_site_type_symbol
_atom_site_fract_x
_atom_site_fract_y
_atom_site_fract_z
Fe1 Fe 0.0000 0.0000 0.0000
Fe2 Fe 0.4926 0.5000 0.5058
Sb1 Sb 0.7790 0.0000 0.3558
Te1 Te 0.2102 0.0000 0.6405
Te2 Te 0.2738 0.5000 0.1466
Te3 Te 0.7188 0.5000 0.8601
```

Largest 8 diffraction maxima, by angle, 2θ from 5° to 70°:
2theta	I_rel	hkl
29.1	41	1 1 0
32.3	100	1 1 -1
32.5	92	1 1 1
32.8	72	1 0 -2
33.2	71	1 0 2
43.7	44	2 1 -1
44.0	57	2 1 1
49.9	62	0 1 3

No. 8
# FeSbTe
Theoretical powder XRD pattern, λ = 1.5418 Å (Cu Kα). Input: a structure optimized by DFT (GGA-PBE).
Intensities are scaled so that the largest is 100.

Structure:
```
data_FeSbTe
_chemical_formula_sum 'Fe4 Sb4 Te4'
_space_group_name_H-M_alt 'P 1 21/c 1'
_space_group_IT_number 14
_space_group_name_Hall '-P 2ybc'
_cell_length_a 6.5423
_cell_length_b 6.3814
_cell_length_c 6.5644
_cell_angle_alpha 90.00
_cell_angle_beta 114.88
_cell_angle_gamma 90.00
loop_
_atom_site_label
_atom_site_type_symbol
_atom_site_fract_x
_atom_site_fract_y
_atom_site_fract_z
Fe1 Fe 0.2230 0.0000 0.2124
Sb1 Sb 0.3617 0.1439 0.6240
Te1 Te 0.1508 0.6428 0.3325
```

Largest 8 diffraction maxima, by angle, 2θ from 5° to 70°:
2theta	I_rel	hkl
28.9	20	1 1 1
32.4	100	1 2 -1
33.3	100	2 1 0
43.9	20	1 1 -3
44.1	23	3 1 -1
50.1	35	1 3 1
51.9	17	2 0 2
62.6	16	3 2 1